For NbFeRhO6, a DFT-relaxed cell (GGA+U, Alexandria) gives the computed powder diffractogram in this record (a wavelength of 1.5418 Å).
Intensities are scaled so that the largest is 100.

Top 10 peaks for 10° ≤ 2θ ≤ 80°, sorted by position:
2theta	I (rel.)
21.17	9.0
26.77	100.0
34.81	69.5
38.22	17.3
52.65	63.1
55.15	16.8
60.11	7.6
62.34	13.2
66.93	33.0
79.74	10.1

Atomic structure:
a b c (Å): 4.7102 4.7102 9.2355
angles (deg): 90.00 90.00 90.00
Fractional coordinates of all 18 atoms:
Nb: 0.0000 0.0000 0.0000
Nb: 0.5000 0.5000 0.5000
Fe: 0.0000 0.0000 0.6648
Fe: 0.5000 0.5000 0.1648
Rh: 0.0000 0.0000 0.3321
Rh: 0.5000 0.5000 0.8321
O: 0.1948 0.1948 0.4972
O: 0.1976 0.1976 0.1629
O: 0.1998 0.1998 0.8357
O: 0.3002 0.6998 0.3357
O: 0.3024 0.6976 0.6629
O: 0.3052 0.6948 0.9972
O: 0.6948 0.3052 0.9972
O: 0.6976 0.3024 0.6629
O: 0.6998 0.3002 0.3357
O: 0.8002 0.8002 0.8357
O: 0.8024 0.8024 0.1629
O: 0.8052 0.8052 0.4972